# GdOF
Simulated powder diffraction line list, Cu Kα, 1.54184 Å. Input: a crystal structure in the Materials Project, relaxed with GGA-PBE.
No peak broadening, texture or thermal motion is included.

```
GdOF
1.0
3.936 0.000 0.000
0.000 3.936 0.000
0.000 0.000 5.668
Gd O F
2 2 2
Cartesian
0.984 0.984 1.130
2.952 2.952 4.538
0.984 2.952 0.000
2.952 0.984 0.000
0.984 0.984 3.408
2.952 2.952 2.260
```

Principal peaks in the range 5 to 70 degrees two-theta, low angle first:
| Position (°2θ) | d [Å] | intensity | (hkl) |
| --- | --- | --- | --- |
| 15.63 | 5.668 | 133 | 0 0 1 |
| 27.59 | 3.233 | 1000 | 1 0 1 |
| 31.57 | 2.834 | 100 | 0 0 2 |
| 32.16 | 2.783 | 462 | 1 1 0 |
| 39.17 | 2.300 | 266 | 1 0 2 |
| 45.69 | 1.986 | 253 | 1 1 2 |
| 46.13 | 1.968 | 242 | 2 0 0 |
| 54.60 | 1.681 | 312 | 2 1 1 |
| 59.10 | 1.563 | 118 | 1 1 3 |
| 62.08 | 1.495 | 130 | 2 1 2 |